(1)
AgHg2I2O: theoretical powder X-ray diffraction pattern (λ = 1.5418 Å (Cu Kα)), based on a DFT-relaxed cell (GGA-PBE, Alexandria).

Atomic structure:
a b c (Å): 7.904 7.904 7.203
angles (deg): 90.00 90.00 54.49
Positions (direct):
1 Ag 0.000 0.000 0.000
2 Ag 0.000 0.000 0.500
3 Hg 0.157 0.551 0.750
4 Hg 0.449 0.843 0.750
5 Hg 0.551 0.157 0.250
6 Hg 0.843 0.449 0.250
7 I 0.115 0.589 0.250
8 I 0.411 0.885 0.250
9 I 0.589 0.115 0.750
10 I 0.885 0.411 0.750
11 O 0.182 0.818 0.750
12 O 0.818 0.182 0.250

Main lines, in order of rising 2θ (10° ≤ 2θ ≤ 90°):
2θ (°)  I/Imax
22.61  281
24.61  360
24.72  515
25.35  284
28.40  185
35.16  639
35.66  1000
37.83  209
38.43  193
43.84  190
49.47  251
53.06  235

---

(2)
AgHgI2O: theoretical powder X-ray diffraction pattern (λ = 1.5418 Å (Cu Kα)), based on a DFT-relaxed cell (GGA-PBE, Alexandria).

Atomic structure:
a b c (Å): 5.841 5.841 4.132
angles (deg): 90.00 90.00 90.00
Positions (direct):
1 Ag 0.000 0.000 0.000
2 Hg 0.500 0.500 0.000
3 I 0.000 0.500 0.500
4 I 0.500 0.000 0.500
5 O 0.500 0.500 0.500

Main lines, in order of rising 2θ (10° ≤ 2θ ≤ 90°):
2θ (°)  I/Imax
15.17  59
21.51  17
26.42  14
30.60  1000
34.33  17
43.83  200
54.40  392
56.82  13
63.72  129
72.33  168
80.55  45
88.57  208

---

(3)
Ag6HgP20I2: theoretical powder X-ray diffraction pattern (λ = 1.5418 Å (Cu Kα)), based on a DFT-relaxed cell (GGA-PBE, Alexandria).

Atomic structure:
a b c (Å): 6.789 28.095 7.463
angles (deg): 90.00 114.08 90.00
Positions (direct):
1 Ag 0.093 0.000 0.021
2 Ag 0.094 0.193 0.018
3 Ag 0.148 0.855 0.023
4 Ag 0.159 0.277 0.574
5 Ag 0.159 0.595 0.578
6 Ag 0.162 0.917 0.567
7 Ag 0.838 0.417 0.433
8 Ag 0.841 0.095 0.422
9 Ag 0.841 0.777 0.426
10 Ag 0.852 0.355 0.977
11 Ag 0.906 0.693 0.982
12 Ag 0.907 0.500 0.979
13 Hg 0.474 0.096 0.840
14 Hg 0.526 0.596 0.160
15 P 0.044 0.728 0.741
16 P 0.050 0.463 0.746
17 P 0.104 0.393 0.288
18 P 0.113 0.803 0.288
19 P 0.238 0.731 0.282
20 P 0.243 0.463 0.283
21 P 0.278 0.677 0.716
22 P 0.283 0.513 0.717
23 P 0.287 0.408 0.910
24 P 0.291 0.782 0.904
25 P 0.345 0.352 0.522
26 P 0.357 0.839 0.538
27 P 0.444 0.015 0.984
28 P 0.446 0.177 0.984
29 P 0.475 0.285 0.234
30 P 0.476 0.717 0.592
31 P 0.483 0.474 0.595
32 P 0.490 0.904 0.241
33 P 0.499 0.951 0.836
34 P 0.500 0.240 0.833
35 P 0.500 0.740 0.167
36 P 0.501 0.451 0.164
37 P 0.510 0.404 0.759
38 P 0.517 0.974 0.405
39 P 0.524 0.217 0.408
40 P 0.525 0.785 0.766
41 P 0.554 0.677 0.016
42 P 0.556 0.515 0.016
43 P 0.643 0.339 0.462
44 P 0.655 0.852 0.478
45 P 0.709 0.282 0.096
46 P 0.713 0.908 0.090
47 P 0.717 0.013 0.283
48 P 0.722 0.177 0.284
49 P 0.757 0.963 0.717
50 P 0.762 0.231 0.718
51 P 0.887 0.303 0.712
52 P 0.896 0.893 0.712
53 P 0.950 0.963 0.254
54 P 0.956 0.228 0.259
55 I 0.076 0.597 0.162
56 I 0.269 0.095 0.417
57 I 0.731 0.595 0.583
58 I 0.924 0.097 0.838

Main lines, in order of rising 2θ (10° ≤ 2θ ≤ 90°):
2θ (°)  I/Imax
18.95  481
23.05  634
24.17  719
26.32  875
27.87  955
28.00  1000
29.98  373
30.38  445
31.85  443
34.53  455
39.18  572
44.34  436

---

(4)
Ag3Hg2S2I3: theoretical powder X-ray diffraction pattern (λ = 1.5418 Å (Cu Kα)), based on a DFT-relaxed cell (GGA-PBE, Alexandria).

Atomic structure:
a b c (Å): 14.198 14.198 14.198
angles (deg): 161.66 161.66 26.05
Positions (direct):
1 Ag 0.000 0.000 0.000
2 Ag 0.395 0.395 0.000
3 Ag 0.605 0.605 0.000
4 Hg 0.250 0.750 0.500
5 Hg 0.750 0.250 0.500
6 S 0.303 0.303 0.000
7 S 0.697 0.697 0.000
8 I 0.105 0.105 0.000
9 I 0.500 0.500 0.000
10 I 0.895 0.895 0.000

Main lines, in order of rising 2θ (10° ≤ 2θ ≤ 90°):
2θ (°)  I/Imax
12.80  171
19.25  272
25.76  461
28.63  1000
30.78  534
39.83  581
43.23  879
48.05  344
57.60  193
65.57  192
67.62  174
74.66  346

---

(5)
AgHg5Sb2I4: theoretical powder X-ray diffraction pattern (λ = 1.5418 Å (Cu Kα)), based on a DFT-relaxed cell (GGA-PBE, Alexandria).

Atomic structure:
a b c (Å): 8.947 7.681 7.681
angles (deg): 110.03 90.00 90.00
Positions (direct):
1 Ag 0.000 0.000 0.000
2 Hg 0.288 0.165 0.587
3 Hg 0.288 0.587 0.165
4 Hg 0.500 0.624 0.624
5 Hg 0.712 0.165 0.587
6 Hg 0.712 0.587 0.165
7 Sb 0.500 0.395 0.832
8 Sb 0.500 0.832 0.395
9 I 0.000 0.617 0.979
10 I 0.000 0.979 0.617
11 I 0.248 0.200 0.200
12 I 0.752 0.200 0.200

Main lines, in order of rising 2θ (10° ≤ 2θ ≤ 90°):
2θ (°)  I/Imax
14.07  427
15.78  627
23.42  1000
24.67  731
28.41  858
30.94  241
31.86  617
36.38  401
40.32  275
40.60  261
42.47  606
42.68  369

---

(6)
Ag2HgTeI2: theoretical powder X-ray diffraction pattern (λ = 1.5418 Å (Cu Kα)), based on a DFT-relaxed cell (GGA-PBE, Alexandria).

Atomic structure:
a b c (Å): 8.272 8.272 7.609
angles (deg): 90.00 90.00 57.26
Positions (direct):
1 Ag 0.019 0.323 0.000
2 Ag 0.323 0.019 0.500
3 Ag 0.677 0.981 0.000
4 Ag 0.981 0.677 0.500
5 Hg 0.435 0.565 0.935
6 Hg 0.565 0.435 0.435
7 Te 0.272 0.728 0.620
8 Te 0.728 0.272 0.120
9 I 0.031 0.641 0.121
10 I 0.359 0.969 0.121
11 I 0.641 0.031 0.621
12 I 0.969 0.359 0.621

Main lines, in order of rising 2θ (10° ≤ 2θ ≤ 90°):
2θ (°)  I/Imax
21.51  1000
23.38  476
24.52  677
25.34  309
31.98  298
32.63  346
37.15  454
38.83  214
40.68  450
41.79  648
42.31  229
50.26  229

---

(7)
In4AgHg2: theoretical powder X-ray diffraction pattern (λ = 1.5418 Å (Cu Kα)), based on a DFT-relaxed cell (GGA-PBE, Alexandria).

Atomic structure:
a b c (Å): 7.767 7.767 7.768
angles (deg): 109.53 109.53 109.35
Positions (direct):
1 In 0.002 0.998 0.500
2 In 0.172 0.532 0.356
3 In 0.364 0.859 0.220
4 In 0.532 0.172 0.856
5 In 0.534 0.674 0.863
6 In 0.674 0.534 0.363
7 In 0.859 0.364 0.720
8 In 0.998 0.002 0.000
9 Ag 0.642 0.892 0.610
10 Ag 0.892 0.642 0.110
11 Hg 0.159 0.769 0.752
12 Hg 0.265 0.374 0.968
13 Hg 0.374 0.265 0.468
14 Hg 0.769 0.159 0.252

Main lines, in order of rising 2θ (10° ≤ 2θ ≤ 90°):
2θ (°)  I/Imax
24.30  170
31.54  1000
37.51  718
45.22  196
47.55  143
49.81  121
51.97  144
63.91  80
64.02  192
67.70  105
78.27  71
78.38  105

---

(8)
In4Ag7Hg: theoretical powder X-ray diffraction pattern (λ = 1.5418 Å (Cu Kα)), based on a DFT-relaxed cell (GGA-PBE, Alexandria).

Atomic structure:
a b c (Å): 5.503 5.626 8.272
angles (deg): 91.29 100.58 95.56
Positions (direct):
1 In 0.127 0.191 0.247
2 In 0.360 0.594 0.815
3 In 0.640 0.406 0.185
4 In 0.873 0.809 0.753
5 Ag 0.018 0.264 0.579
6 Ag 0.192 0.695 0.126
7 Ag 0.294 0.111 0.919
8 Ag 0.500 0.500 0.500
9 Ag 0.706 0.889 0.081
10 Ag 0.808 0.305 0.874
11 Ag 0.982 0.736 0.421
12 Hg 0.500 0.000 0.500

Main lines, in order of rising 2θ (10° ≤ 2θ ≤ 90°):
2θ (°)  I/Imax
24.88  223
33.08  382
36.45  365
36.92  1000
37.11  960
37.49  416
37.74  963
38.03  400
38.90  349
39.92  255
40.28  277
66.22  205

---

(9)
In6AgHg: theoretical powder X-ray diffraction pattern (λ = 1.5418 Å (Cu Kα)), based on a DFT-relaxed cell (GGA-PBE, Alexandria).

Atomic structure:
a b c (Å): 4.533 7.385 7.529
angles (deg): 68.22 74.07 74.03
Positions (direct):
1 In 0.077 0.075 0.245
2 In 0.286 0.211 0.786
3 In 0.349 0.445 0.324
4 In 0.651 0.555 0.676
5 In 0.714 0.789 0.214
6 In 0.923 0.925 0.755
7 Ag 0.500 0.000 0.500
8 Hg 0.000 0.500 0.000

Main lines, in order of rising 2θ (10° ≤ 2θ ≤ 90°):
2θ (°)  I/Imax
21.27  204
22.33  512
26.50  279
26.61  278
27.38  310
37.27  263
37.50  427
37.82  703
38.00  1000
38.70  374
39.12  200
39.80  510

---

(10)
In7AgHg4: theoretical powder X-ray diffraction pattern (λ = 1.5418 Å (Cu Kα)), based on a DFT-relaxed cell (GGA-PBE, Alexandria).

Atomic structure:
a b c (Å): 4.941 4.941 14.881
angles (deg): 90.00 90.00 120.00
Positions (direct):
1 In 0.000 0.000 0.000
2 In 0.000 0.000 0.272
3 In 0.000 0.000 0.728
4 In 0.333 0.667 0.166
5 In 0.333 0.667 0.434
6 In 0.667 0.333 0.566
7 In 0.667 0.333 0.834
8 Ag 0.000 0.000 0.500
9 Hg 0.333 0.667 0.662
10 Hg 0.333 0.667 0.911
11 Hg 0.667 0.333 0.089
12 Hg 0.667 0.333 0.338

Main lines, in order of rising 2θ (10° ≤ 2θ ≤ 90°):
2θ (°)  I/Imax
21.61  91
31.87  1000
36.36  749
47.82  77
49.12  297
53.73  186
62.63  284
65.43  132
66.61  104
77.22  84
78.34  129
85.97  122

---

(11)
In4Ag2Hg: theoretical powder X-ray diffraction pattern (λ = 1.5418 Å (Cu Kα)), based on a DFT-relaxed cell (GGA-PBE, Alexandria).

Atomic structure:
a b c (Å): 14.011 4.495 5.821
angles (deg): 90.00 109.33 90.00
Positions (direct):
1 In 0.070 0.000 0.359
2 In 0.178 0.500 0.808
3 In 0.322 0.000 0.192
4 In 0.430 0.500 0.641
5 In 0.570 0.500 0.359
6 In 0.678 0.000 0.808
7 In 0.822 0.500 0.192
8 In 0.930 0.000 0.641
9 Ag 0.213 0.500 0.331
10 Ag 0.287 0.000 0.669
11 Ag 0.713 0.000 0.331
12 Ag 0.787 0.500 0.669
13 Hg 0.000 0.500 0.000
14 Hg 0.500 0.000 0.000

Main lines, in order of rising 2θ (10° ≤ 2θ ≤ 90°):
2θ (°)  I/Imax
17.24  203
25.07  279
26.47  244
27.85  563
28.36  163
36.09  412
38.06  1000
38.66  249
39.52  992
40.12  465
40.96  167
57.55  232

---

(12)
In4AgHg7: theoretical powder X-ray diffraction pattern (λ = 1.5418 Å (Cu Kα)), based on a DFT-relaxed cell (GGA-PBE, Alexandria).

Atomic structure:
a b c (Å): 6.928 6.928 13.774
angles (deg): 96.28 96.28 29.40
Positions (direct):
1 In 0.000 0.000 0.000
2 In 0.385 0.385 0.164
3 In 0.531 0.531 0.609
4 In 0.773 0.773 0.332
5 Ag 0.192 0.192 0.708
6 Hg 0.091 0.091 0.235
7 Hg 0.199 0.199 0.495
8 Hg 0.318 0.318 0.894
9 Hg 0.474 0.474 0.395
10 Hg 0.581 0.581 0.838
11 Hg 0.703 0.703 0.061
12 Hg 0.862 0.862 0.673

Main lines, in order of rising 2θ (10° ≤ 2θ ≤ 90°):
2θ (°)  I/Imax
27.94  103
30.70  102
31.18  220
32.69  1000
33.32  248
33.98  260
35.12  162
37.84  364
41.32  142
52.03  177
56.03  92
56.49  104